Diffraction record for Li3Al4Rh2. The powder diffractogram is simulated, not measured: it uses a structure optimized by DFT (GGA-PBE) and Cu Kα, 1.54184 Å.

Most intense lines, 2θ from 15° to 90°, most intense first:
| 2θ (°) | d [Å] | I_rel | h k l |
| --- | --- | --- | --- |
| 26.64 | 3.347 | 1000 | 0 1 1 |
| 41.68 | 2.167 | 652 | 0 1 3 |
| 42.55 | 2.125 | 636 | 1 1 0 |
| 22.10 | 4.022 | 423 | 0 0 2 |
| 48.45 | 1.879 | 299 | 1 1 2 |
| 61.08 | 1.517 | 207 | 2 0 3 |
| 77.27 | 1.235 | 204 | 1 2 3 |
| 51.81 | 1.765 | 175 | 1 0 4 |
| 50.91 | 1.794 | 164 | 2 0 1 |
| 24.18 | 3.680 | 160 | 1 0 0 |
| 68.45 | 1.371 | 132 | 1 2 1 |
| 32.99 | 2.715 | 124 | 1 0 2 |

Structural model:
Cell: 4.2496 4.2496 8.0440 Å, 90.00 90.00 120.00°
Space group P-3m1 (No. 164)
Asymmetric unit:
Li  0.0000  0.0000  0.0000 x1
Li  0.3333  0.6667  0.4522 x2
Al  0.0000  0.0000  0.3213 x2
Al  0.3333  0.6667  0.1125 x2
Rh  0.3333  0.6667  0.7904 x2

***

Diffraction record for LiZrAlRh. The powder diffractogram is simulated, not measured: it uses a structure optimized by DFT (GGA-PBE) and Cu Kα, 1.54184 Å.

Most intense lines, 2θ from 15° to 90°, most intense first:
| 2θ (°) | d [Å] | I_rel | h k l |
| --- | --- | --- | --- |
| 40.33 | 2.236 | 1000 | 2 2 0 |
| 24.38 | 3.652 | 699 | 1 1 1 |
| 47.69 | 1.907 | 333 | 3 1 1 |
| 73.33 | 1.291 | 328 | 4 2 2 |
| 58.36 | 1.581 | 165 | 4 0 0 |
| 64.19 | 1.451 | 133 | 3 3 1 |
| 87.18 | 1.118 | 105 | 4 4 0 |
| 78.60 | 1.217 | 98 | 5 1 1 |

Structural model:
Cell: 6.325 6.325 6.325 Å, 90.00 90.00 90.00°
Space group F-43m (No. 216)
Asymmetric unit:
Li  0.000  0.000  0.000 x4
Zr  0.250  0.250  0.750 x4
Al  0.250  0.250  0.250 x4
Rh  0.000  0.000  0.500 x4

***

Diffraction record for Li3AlS3. The powder diffractogram is simulated, not measured: it uses a structure optimized by DFT (GGA-PBE) and Cu Kα, 1.54184 Å.

Most intense lines, 2θ from 15° to 90°, most intense first:
| 2θ (°) | d [Å] | I_rel | h k l |
| --- | --- | --- | --- |
| 19.33 | 4.591 | 1000 | 1 0 -2 |
| 25.80 | 3.453 | 940 | 0 2 0 |
| 24.61 | 3.617 | 618 | 1 1 2 |
| 30.52 | 2.929 | 571 | 2 1 1 |
| 26.65 | 3.345 | 525 | 0 1 3 |
| 29.67 | 3.011 | 522 | 1 2 -1 |
| 20.14 | 4.410 | 483 | 0 1 2 |
| 29.12 | 3.066 | 423 | 2 0 -2 |
| 44.75 | 2.025 | 408 | 1 3 2 |
| 50.86 | 1.795 | 370 | 0 3 4 |
| 33.85 | 2.648 | 361 | 0 1 4 |
| 42.77 | 2.114 | 294 | 3 1 1 |

Structural model:
Cell: 6.921 6.913 11.503 Å, 90.00 94.60 90.00°
Space group P2_1/c (No. 14)
Asymmetric unit:
Li  0.136  0.155  0.086 x4
Li  0.174  0.749  0.655 x4
Li  0.200  0.099  0.794 x4
Al  0.321  0.589  0.930 x4
S  0.122  0.054  0.292 x4
S  0.218  0.614  0.463 x4
S  0.360  0.062  0.609 x4

***

Diffraction record for Li2AlSbS4. The powder diffractogram is simulated, not measured: it uses a structure optimized by DFT (GGA-PBE) and Cu Kα, 1.54184 Å.

Most intense lines, 2θ from 15° to 90°, most intense first:
| 2θ (°) | d [Å] | I_rel | h k l |
| --- | --- | --- | --- |
| 19.96 | 4.448 | 1000 | 0 1 1 |
| 29.71 | 3.007 | 627 | 0 0 2 |
| 19.77 | 4.490 | 600 | 2 0 0 |
| 26.98 | 3.304 | 544 | 0 2 0 |
| 16.66 | 5.323 | 509 | 1 1 0 |
| 23.96 | 3.714 | 413 | 2 1 0 |
| 17.75 | 4.996 | 405 | 1 0 1 |
| 45.88 | 1.978 | 321 | 2 3 0 |
| 32.85 | 2.727 | 297 | 3 1 0 |
| 40.17 | 2.245 | 292 | 4 0 0 |
| 28.24 | 3.160 | 292 | 2 1 1 |
| 51.83 | 1.764 | 290 | 2 1 3 |

Structural model:
Cell: 8.980 6.609 6.013 Å, 90.00 90.00 90.00°
Space group Pmn2_1 (No. 31)
Asymmetric unit:
Li  0.248  0.177  0.000 x4
Al  0.000  0.341  0.509 x2
Sb  0.000  0.711  0.986 x2
S  0.000  0.344  0.893 x2
S  0.000  0.675  0.406 x2
S  0.210  0.185  0.406 x4

***

Diffraction record for LiTb2AlS5. The powder diffractogram is simulated, not measured: it uses a structure optimized by DFT (GGA-PBE) and Cu Kα, 1.54184 Å.

Most intense lines, 2θ from 15° to 90°, most intense first:
| 2θ (°) | d [Å] | I_rel | h k l |
| --- | --- | --- | --- |
| 34.20 | 2.622 | 1000 | 1 1 3 |
| 21.38 | 4.156 | 755 | 0 4 0 |
| 15.87 | 5.584 | 735 | 0 0 2 |
| 26.23 | 3.398 | 660 | 0 2 3 |
| 32.83 | 2.728 | 595 | 1 3 2 |
| 48.05 | 1.893 | 439 | 2 0 0 |
| 28.99 | 3.080 | 433 | 1 1 2 |
| 39.51 | 2.281 | 424 | 1 5 2 |
| 43.63 | 2.075 | 410 | 1 5 3 |
| 35.94 | 2.499 | 361 | 1 5 0 |
| 41.88 | 2.157 | 344 | 0 2 5 |
| 24.10 | 3.693 | 319 | 1 1 0 |

Structural model:
Cell: 3.787 16.625 11.168 Å, 90.00 90.00 90.00°
Space group Cmc2_1 (No. 36)
Asymmetric unit:
Li  0.000  0.214  0.000 x4
Tb  0.000  0.122  0.662 x4
Tb  0.000  0.132  0.285 x4
Al  0.000  0.430  0.437 x4
S  0.000  0.044  0.044 x4
S  0.000  0.293  0.649 x4
S  0.000  0.314  0.333 x4
S  0.000  0.359  0.981 x4
S  0.000  0.499  0.263 x4

***

Diffraction record for Li2AlSb. The powder diffractogram is simulated, not measured: it uses a structure optimized by DFT (GGA-PBE) and Cu Kα, 1.54184 Å.

Most intense lines, 2θ from 15° to 90°, most intense first:
| 2θ (°) | d [Å] | I_rel | h k l |
| --- | --- | --- | --- |
| 23.71 | 3.753 | 1000 | 1 0 1 |
| 36.88 | 2.437 | 912 | 1 1 2 |
| 20.39 | 4.356 | 797 | 0 0 2 |
| 30.40 | 2.940 | 585 | 1 1 0 |
| 48.52 | 1.876 | 311 | 2 0 2 |
| 37.79 | 2.381 | 301 | 1 0 3 |
| 43.53 | 2.079 | 284 | 2 0 0 |
| 50.16 | 1.819 | 264 | 2 1 1 |
| 52.27 | 1.750 | 248 | 1 1 4 |
| 75.53 | 1.259 | 217 | 3 1 2 |
| 61.68 | 1.504 | 198 | 2 0 4 |
| 41.46 | 2.178 | 163 | 0 0 4 |

Structural model:
Cell: 4.158 4.158 8.711 Å, 90.00 90.00 90.00°
Space group I4/mmm (No. 139)
Asymmetric unit:
Li  0.000  0.500  0.250 x4
Al  0.000  0.000  0.000 x2
Sb  0.000  0.000  0.500 x2

***

Diffraction record for LiAl2Sb. The powder diffractogram is simulated, not measured: it uses a structure optimized by DFT (GGA-PBE) and Cu Kα, 1.54184 Å.

Most intense lines, 2θ from 15° to 90°, most intense first:
| 2θ (°) | d [Å] | I_rel | h k l |
| --- | --- | --- | --- |
| 36.68 | 2.450 | 1000 | 0 1 2 |
| 29.17 | 3.061 | 780 | 1 0 -1 |
| 26.22 | 3.399 | 695 | 0 1 1 |
| 21.74 | 4.088 | 625 | 0 1 0 |
| 36.30 | 2.475 | 594 | 1 1 0 |
| 28.72 | 3.108 | 404 | 1 0 0 |
| 42.69 | 2.118 | 338 | 1 1 -2 |
| 41.75 | 2.163 | 321 | 1 1 1 |
| 53.93 | 1.700 | 271 | 1 2 -1 |
| 44.31 | 2.044 | 228 | 0 2 0 |
| 46.07 | 1.970 | 169 | 1 0 2 |
| 65.82 | 1.419 | 154 | 1 2 2 |

Structural model:
Cell: 3.190 4.088 6.279 Å, 90.00 102.99 90.00°
Space group Pm (No. 6)
Asymmetric unit:
Li  0.000  0.000  0.000 x1
Al  0.384  0.500  0.725 x1
Al  0.797  0.000  0.541 x1
Sb  0.594  0.500  0.205 x1

***

Diffraction record for Li2ScAl. The powder diffractogram is simulated, not measured: it uses a structure optimized by DFT (GGA-PBE) and Cu Kα, 1.54184 Å.

Most intense lines, 2θ from 15° to 90°, most intense first:
| 2θ (°) | d [Å] | I_rel | h k l |
| --- | --- | --- | --- |
| 36.63 | 2.453 | 1000 | 1 0 2 |
| 31.28 | 2.859 | 499 | 1 0 1 |
| 41.93 | 2.155 | 346 | 1 1 0 |
| 73.12 | 1.294 | 232 | 2 1 2 |
| 44.30 | 2.045 | 204 | 1 0 3 |
| 43.40 | 2.085 | 191 | 1 1 1 |
| 62.21 | 1.492 | 175 | 1 1 4 |
| 43.76 | 2.069 | 133 | 0 0 4 |
| 32.46 | 2.758 | 120 | 0 0 3 |
| 60.80 | 1.523 | 108 | 2 0 0 |
| 54.01 | 1.698 | 99 | 1 1 3 |
| 77.87 | 1.227 | 87 | 2 0 4 |

Structural model:
Cell: 3.047 3.047 8.275 Å, 90.00 90.00 90.00°
Space group P4mm (No. 99)
Asymmetric unit:
Li  0.000  0.000  0.000 x1
Li  0.500  0.500  0.246 x1
Sc  0.000  0.000  0.544 x1
Al  0.500  0.500  0.788 x1

***

Diffraction record for LiSc3Al12. The powder diffractogram is simulated, not measured: it uses a structure optimized by DFT (GGA-PBE) and Cu Kα, 1.54184 Å.

Most intense lines, 2θ from 15° to 90°, most intense first:
| 2θ (°) | d [Å] | I_rel | h k l |
| --- | --- | --- | --- |
| 38.16 | 2.358 | 1000 | 1 1 4 |
| 44.36 | 2.042 | 478 | 2 0 0 |
| 64.53 | 1.444 | 297 | 2 2 0 |
| 77.48 | 1.232 | 231 | 3 1 4 |
| 77.58 | 1.231 | 109 | 1 1 12 |
| 81.66 | 1.179 | 98 | 2 2 8 |
| 22.43 | 3.964 | 31 | 1 0 1 |
| 35.17 | 2.551 | 28 | 1 1 3 |
| 27.30 | 3.267 | 26 | 0 0 5 |
| 24.36 | 3.654 | 26 | 1 0 2 |
| 32.89 | 2.723 | 20 | 0 0 6 |
| 21.76 | 4.084 | 16 | 0 0 4 |

Structural model:
Cell: 4.087 4.087 16.320 Å, 90.00 90.00 90.00°
Space group P4/mmm (No. 123)
Asymmetric unit:
Li  0.000  0.000  0.000 x1
Sc  0.000  0.000  0.248 x2
Sc  0.000  0.000  0.500 x1
Al  0.000  0.500  0.119 x4
Al  0.000  0.500  0.373 x4
Al  0.500  0.500  0.000 x1
Al  0.500  0.500  0.247 x2
Al  0.500  0.500  0.500 x1

***

Diffraction record for Li2ScAlSe4. The powder diffractogram is simulated, not measured: it uses a structure optimized by DFT (GGA-PBE) and Cu Kα, 1.54184 Å.

Most intense lines, 2θ from 15° to 90°, most intense first:
| 2θ (°) | d [Å] | I_rel | h k l |
| --- | --- | --- | --- |
| 33.12 | 2.705 | 1000 | 2 2 0 |
| 47.43 | 1.917 | 701 | 2 2 4 |
| 28.31 | 3.153 | 514 | 0 2 2 |
| 28.77 | 3.103 | 513 | 2 0 2 |
| 32.97 | 2.717 | 513 | 0 0 4 |
| 56.02 | 1.642 | 205 | 0 2 6 |
| 59.59 | 1.552 | 179 | 4 0 4 |
| 48.14 | 1.890 | 174 | 4 0 0 |
| 58.56 | 1.576 | 171 | 0 4 4 |
| 46.94 | 1.936 | 170 | 0 4 0 |
| 78.86 | 1.214 | 148 | 2 2 8 |
| 56.79 | 1.621 | 144 | 4 2 2 |

Structural model:
Cell: 7.561 7.743 10.866 Å, 90.00 90.00 90.00°
Space group Imma (No. 74)
Asymmetric unit:
Li  0.000  0.000  0.000 x4
Li  0.250  0.250  0.250 x4
Sc  0.000  0.000  0.500 x4
Al  0.250  0.250  0.750 x4
Se  0.000  0.020  0.750 x8
Se  0.250  0.250  0.507 x8

***

Diffraction record for LiScAlSn. The powder diffractogram is simulated, not measured: it uses a structure optimized by DFT (GGA-PBE) and Cu Kα, 1.54184 Å.

Most intense lines, 2θ from 15° to 90°, most intense first:
| 2θ (°) | d [Å] | I_rel | h k l |
| --- | --- | --- | --- |
| 36.61 | 2.454 | 1000 | 1 1 1 |
| 20.82 | 4.266 | 541 | 0 1 0 |
| 29.77 | 3.001 | 458 | 1 0 1 |
| 21.10 | 4.211 | 241 | 1 0 0 |
| 29.57 | 3.021 | 215 | 0 1 1 |
| 42.22 | 2.140 | 167 | 0 0 2 |
| 42.40 | 2.132 | 165 | 0 2 0 |
| 52.66 | 1.738 | 160 | 1 2 1 |
| 42.96 | 2.105 | 159 | 2 0 0 |
| 73.52 | 1.288 | 130 | 1 1 3 |
| 73.77 | 1.284 | 129 | 1 3 1 |
| 74.55 | 1.273 | 125 | 3 1 1 |

Structural model:
Cell: 4.211 4.263 4.281 Å, 90.00 90.00 90.00°
Space group Pmmm (No. 47)
Asymmetric unit:
Li  0.000  0.000  0.000 x1
Sc  0.000  0.500  0.500 x1
Al  0.500  0.000  0.500 x1
Sn  0.500  0.500  0.000 x1

***

Diffraction record for Li2AlTeSe. The powder diffractogram is simulated, not measured: it uses a structure optimized by DFT (GGA-PBE) and Cu Kα, 1.54184 Å.

Most intense lines, 2θ from 15° to 90°, most intense first:
| 2θ (°) | d [Å] | I_rel | h k l |
| --- | --- | --- | --- |
| 23.99 | 3.709 | 1000 | 1 1 0 |
| 29.82 | 2.996 | 817 | 1 1 1 |
| 17.45 | 5.082 | 588 | 0 0 1 |
| 34.19 | 2.623 | 473 | 2 0 0 |
| 43.15 | 2.096 | 410 | 1 1 2 |
| 38.63 | 2.331 | 321 | 2 0 1 |
| 49.97 | 1.825 | 317 | 2 0 2 |
| 16.90 | 5.245 | 245 | 1 0 0 |
| 58.53 | 1.577 | 238 | 3 1 1 |
| 35.32 | 2.541 | 216 | 0 0 2 |
| 67.42 | 1.389 | 214 | 3 1 2 |
| 55.39 | 1.659 | 194 | 3 1 0 |

Structural model:
Cell: 5.245 5.245 5.082 Å, 90.00 90.00 90.00°
Space group P4/mmm (No. 123)
Asymmetric unit:
Li  0.000  0.500  0.000 x2
Al  0.000  0.000  0.000 x1
Te  0.000  0.000  0.500 x1
Se  0.500  0.500  0.500 x1